Record 1
The following is a calculated X-ray diffraction stick pattern of Hf8Ni21. It was derived from DFT lattice parameters and positions (GGA-PBE), using Cu Kα, 1.54184 Å.
Lines closer than 0.1° are merged.

Structure:
Cell lengths 6.398, 7.968, 8.510 Å; angles 75.11, 68.12, 75.45 degrees
Space group P-1 (No. 2)
Inequivalent atoms, fractional coordinates:
Hf (0.069, 0.037, 0.245) (multiplicity 2)
Hf (0.252, 0.438, 0.393) (multiplicity 2)
Hf (0.253, 0.563, 0.966) (multiplicity 2)
Hf (0.430, 0.097, 0.686) (multiplicity 2)
Ni (0.014, 0.617, 0.758) (multiplicity 2)
Ni (0.017, 0.294, 0.724) (multiplicity 2)
Ni (0.181, 0.258, 0.951) (multiplicity 2)
Ni (0.183, 0.901, 0.963) (multiplicity 2)
Ni (0.196, 0.755, 0.459) (multiplicity 2)
Ni (0.213, 0.109, 0.471) (multiplicity 2)
Ni (0.364, 0.789, 0.657) (multiplicity 2)
Ni (0.381, 0.446, 0.650) (multiplicity 2)
Ni (0.401, 0.242, 0.153) (multiplicity 2)
Ni (0.401, 0.717, 0.154) (multiplicity 2)
Ni (0.500, 0.000, 0.000) (multiplicity 1)

Principal peaks in the range 10 to 90 degrees two-theta, in order of rising 2θ:
(1 -1 2), 28.83°, I = 32; (2 1 0), 30.81°, I = 31; (0 0 3), 34.70°, I = 45; (2 1 3), 36.20°, I = 49; (1 3 -1), 41.58°, I = 100; (-1 3 1), 42.57°, I = 80; (2 3 3), 43.71°, I = 75; (1 0 4), 44.04°, I = 77; (2 0 -2), 44.50°, I = 98; (3 0 2), 44.62°, I = 73

Record 2
The following is a calculated X-ray diffraction stick pattern of DyYGe2Pd4. It was derived from DFT lattice parameters and positions (GGA-PBE), using Cu Kα, 1.54184 Å.
Lines closer than 0.1° are merged.

Structure:
Cell lengths 4.3955, 4.3955, 9.0418 Å; angles 90.00, 90.00, 120.00 degrees
Space group P-6m2 (No. 187)
Inequivalent atoms, fractional coordinates:
Dy (0.0000, 0.0000, 0.0000) (multiplicity 1)
Y (0.6667, 0.3333, 0.5000) (multiplicity 1)
Ge (0.3333, 0.6667, 0.2503) (multiplicity 2)
Pd (0.0000, 0.0000, 0.3308) (multiplicity 2)
Pd (0.6667, 0.3333, 0.1674) (multiplicity 2)

Principal peaks in the range 10 to 90 degrees two-theta, in order of rising 2θ:
(1 0 0), 23.37°, I = 21; (1 0 2), 30.70°, I = 15; (1 0 3), 38.08°, I = 100; (1 1 0), 41.07°, I = 80; (2 0 3), 57.25°, I = 30; (1 0 6), 66.76°, I = 13; (2 1 3), 72.85°, I = 29; (3 0 0), 74.83°, I = 13; (1 1 6), 76.67°, I = 10; (2 2 0), 89.10°, I = 9

Record 3
The following is a calculated X-ray diffraction stick pattern of SnBPt3. It was derived from DFT lattice parameters and positions (GGA-PBE), using Cu Kα, 1.54184 Å.
Lines closer than 0.1° are merged.

Structure:
Cell lengths 5.763, 5.763, 4.750 Å; angles 90.00, 90.00, 90.00 degrees
Space group P4/mbm (No. 127)
Inequivalent atoms, fractional coordinates:
Sn (0.000, 0.500, 0.000) (multiplicity 2)
B (0.000, 0.000, 0.500) (multiplicity 2)
Pt (0.000, 0.000, 0.000) (multiplicity 2)
Pt (0.173, 0.327, 0.500) (multiplicity 4)

Principal peaks in the range 10 to 90 degrees two-theta, in order of rising 2θ:
(1 1 1), 28.87°, I = 14; (2 1 0), 34.81°, I = 32; (2 0 1), 36.47°, I = 100; (0 0 2), 37.88°, I = 41; (2 1 1), 39.79°, I = 45; (2 2 0), 44.46°, I = 21; (2 1 2), 52.39°, I = 21; (2 2 2), 59.80°, I = 18; (2 0 3), 67.50°, I = 17; (4 0 1), 67.99°, I = 12

Record 4
The following is a calculated X-ray diffraction stick pattern of TlHgSeO. It was derived from DFT lattice parameters and positions (GGA-PBE), using Cu Kα, 1.54184 Å.
Lines closer than 0.1° are merged.

Structure:
Cell lengths 5.820, 5.841, 11.535 Å; angles 90.00, 96.50, 90.00 degrees
Space group P2_1 (No. 4)
Inequivalent atoms, fractional coordinates:
Tl (0.011, 0.000, 0.091) (multiplicity 2)
Tl (0.483, 0.988, 0.907) (multiplicity 2)
Hg (0.167, 0.630, 0.503) (multiplicity 2)
Hg (0.470, 0.873, 0.333) (multiplicity 2)
Se (0.167, 0.181, 0.294) (multiplicity 2)
Se (0.243, 0.065, 0.703) (multiplicity 2)
O (0.251, 0.750, 0.008) (multiplicity 2)
O (0.252, 0.257, 0.997) (multiplicity 2)

Principal peaks in the range 10 to 90 degrees two-theta, in order of rising 2θ:
(1 1 1), 23.58°, I = 30; (1 1 -2), 25.64°, I = 100; (1 1 2), 27.71°, I = 35; (0 2 0), 30.63°, I = 19; (0 2 1), 31.62°, I = 16; (1 1 3), 33.28°, I = 47; (1 2 0), 34.42°, I = 18; (0 0 5), 39.31°, I = 24; (2 2 0), 44.11°, I = 28; (1 3 -3), 54.45°, I = 13

Record 5
The following is a calculated X-ray diffraction stick pattern of Y2HoCu4Si2Ge2. It was derived from DFT lattice parameters and positions (GGA-PBE), using Cu Kα, 1.54184 Å.
Lines closer than 0.1° are merged.

Structure:
Cell lengths 4.144, 6.606, 13.828 Å; angles 90.00, 90.00, 90.00 degrees
Space group Immm (No. 71)
Inequivalent atoms, fractional coordinates:
Y (0.000, 0.000, 0.130) (multiplicity 4)
Ho (0.000, 0.500, 0.000) (multiplicity 2)
Cu (0.000, 0.190, 0.326) (multiplicity 8)
Si (0.000, 0.500, 0.216) (multiplicity 4)
Ge (0.000, 0.306, 0.500) (multiplicity 4)

Principal peaks in the range 10 to 90 degrees two-theta, in order of rising 2θ:
(1 1 2), 28.52°, I = 37; (0 1 5), 35.18°, I = 23; (1 2 1), 35.35°, I = 100; (1 1 4), 36.48°, I = 78; (0 0 6), 39.10°, I = 34; (2 0 0), 43.68°, I = 37; (0 3 3), 45.66°, I = 40; (1 2 5), 48.21°, I = 20; (1 2 7), 58.85°, I = 15; (2 3 3), 65.03°, I = 26

Record 6
The following is a calculated X-ray diffraction stick pattern of Tm3Mg3CdAg2. It was derived from DFT lattice parameters and positions (GGA-PBE), using Cu Kα, 1.54184 Å.
Lines closer than 0.1° are merged.

Structure:
Cell lengths 7.6428, 7.6428, 4.1797 Å; angles 90.00, 90.00, 120.00 degrees
Space group P-62m (No. 189)
Inequivalent atoms, fractional coordinates:
Tm (0.0000, 0.5815, 0.0000) (multiplicity 3)
Mg (0.0000, 0.2532, 0.5000) (multiplicity 3)
Cd (0.0000, 0.0000, 0.0000) (multiplicity 1)
Ag (0.3333, 0.6667, 0.5000) (multiplicity 2)

Principal peaks in the range 10 to 90 degrees two-theta, in order of rising 2θ:
(1 1 0), 23.28°, I = 30; (2 0 0), 26.94°, I = 27; (1 1 1), 31.73°, I = 76; (2 0 1), 34.57°, I = 100; (2 1 0), 35.90°, I = 22; (3 0 0), 40.90°, I = 24; (2 1 1), 42.09°, I = 22; (0 0 2), 43.29°, I = 21; (3 1 0), 49.68°, I = 28; (3 1 1), 54.60°, I = 24

Record 7
The following is a calculated X-ray diffraction stick pattern of LaOsPb2O6. It was derived from DFT lattice parameters and positions (GGA-PBE), using Cu Kα, 1.54184 Å.
Lines closer than 0.1° are merged.

Structure:
Cell lengths 10.074, 5.909, 6.100 Å; angles 90.00, 123.96, 90.00 degrees
Space group C2/m (No. 12)
Inequivalent atoms, fractional coordinates:
La (0.000, 0.000, 0.000) (multiplicity 2)
Os (0.000, 0.500, 0.500) (multiplicity 2)
Pb (0.243, 0.000, 0.712) (multiplicity 4)
O (0.061, 0.266, 0.338) (multiplicity 8)
O (0.221, 0.500, 0.811) (multiplicity 4)

Principal peaks in the range 10 to 90 degrees two-theta, in order of rising 2θ:
(1 1 1), 29.39°, I = 100; (0 2 0), 30.25°, I = 33; (3 1 -1), 30.62°, I = 65; (2 2 -2), 42.64°, I = 32; (4 0 0), 43.31°, I = 15; (1 1 -3), 51.30°, I = 13; (1 3 1), 53.22°, I = 13; (5 1 -3), 53.59°, I = 14; (4 2 0), 53.74°, I = 15; (3 3 -1), 53.97°, I = 14

Record 8
The following is a calculated X-ray diffraction stick pattern of PrHgSO. It was derived from DFT lattice parameters and positions (GGA-PBE), using Cu Kα, 1.54184 Å.
Lines closer than 0.1° are merged.

Structure:
Cell lengths 5.839, 5.861, 11.395 Å; angles 90.00, 91.08, 90.00 degrees
Space group P2_1 (No. 4)
Inequivalent atoms, fractional coordinates:
Pr (0.003, 0.000, 0.103) (multiplicity 2)
Pr (0.497, 0.000, 0.896) (multiplicity 2)
Hg (0.186, 0.760, 0.497) (multiplicity 2)
Hg (0.496, 0.510, 0.675) (multiplicity 2)
S (0.211, 0.224, 0.710) (multiplicity 2)
S (0.214, 0.292, 0.289) (multiplicity 2)
O (0.250, 0.749, 0.000) (multiplicity 2)
O (0.253, 0.249, 0.000) (multiplicity 2)

Principal peaks in the range 10 to 90 degrees two-theta, in order of rising 2θ:
(0 1 1), 17.01°, I = 29; (1 1 -2), 26.46°, I = 94; (1 1 2), 26.81°, I = 100; (0 2 1), 31.52°, I = 25; (1 1 -3), 31.78°, I = 46; (1 1 3), 32.21°, I = 31; (0 0 5), 39.55°, I = 30; (2 2 0), 43.77°, I = 52; (0 2 4), 44.35°, I = 32; (1 3 -2), 51.78°, I = 29

Record 9
The following is a calculated X-ray diffraction stick pattern of Ho2LuAl7Cu2. It was derived from DFT lattice parameters and positions (GGA-PBE), using Cu Kα, 1.54184 Å.
Lines closer than 0.1° are merged.

Structure:
Cell lengths 5.4586, 5.4586, 25.2654 Å; angles 90.00, 90.00, 120.00 degrees
Space group R-3m (No. 166, hexagonal axes)
Inequivalent atoms, fractional coordinates:
Ho (0.0000, 0.0000, 0.1420) (multiplicity 6)
Lu (0.0000, 0.0000, 0.0000) (multiplicity 3)
Al (0.0000, 0.0000, 0.5000) (multiplicity 3)
Al (0.0061, 0.5030, 0.9213) (multiplicity 18)
Cu (0.0000, 0.0000, 0.3352) (multiplicity 6)

Principal peaks in the range 10 to 90 degrees two-theta, in order of rising 2θ:
(1 0 1), 19.10°, I = 47; (0 0 6), 21.10°, I = 32; (1 0 7), 31.18°, I = 53; (1 1 0), 32.81°, I = 89; (0 1 8), 34.14°, I = 34; (0 2 1), 38.24°, I = 28; (1 1 6), 39.34°, I = 100; (2 1 7), 57.56°, I = 20; (3 0 6), 62.98°, I = 25; (2 0 14), 65.05°, I = 27

Record 10
The following is a calculated X-ray diffraction stick pattern of Cu15Hg. It was derived from DFT lattice parameters and positions (GGA-PBE), using Cu Kα, 1.54184 Å.
Lines closer than 0.1° are merged.

Structure:
Cell lengths 5.133, 3.580, 34.074 Å; angles 90.00, 90.02, 90.00 degrees
Space group P2_1/m (No. 11)
Inequivalent atoms, fractional coordinates:
Cu (0.123, 0.250, 0.257) (multiplicity 2)
Cu (0.125, 0.250, 0.407) (multiplicity 2)
Cu (0.125, 0.250, 0.481) (multiplicity 2)
Cu (0.125, 0.250, 0.556) (multiplicity 2)
Cu (0.125, 0.250, 0.631) (multiplicity 2)
Cu (0.125, 0.250, 0.705) (multiplicity 2)
Cu (0.125, 0.250, 0.779) (multiplicity 2)
Cu (0.126, 0.250, 0.332) (multiplicity 2)
Cu (0.373, 0.750, 0.743) (multiplicity 2)
Cu (0.375, 0.750, 0.295) (multiplicity 2)
Cu (0.375, 0.750, 0.370) (multiplicity 2)
Cu (0.375, 0.750, 0.444) (multiplicity 2)
Cu (0.375, 0.750, 0.519) (multiplicity 2)
Cu (0.375, 0.750, 0.593) (multiplicity 2)
Cu (0.376, 0.750, 0.668) (multiplicity 2)
Hg (0.375, 0.750, 0.204) (multiplicity 2)

Principal peaks in the range 10 to 90 degrees two-theta, in order of rising 2θ:
(0 0 4), 10.38°, I = 24; (0 1 11), 38.44°, I = 15; (0 1 13), 42.76°, I = 63; (2 1 0), 43.41°, I = 100; (0 1 14), 45.04°, I = 21; (2 0 13), 49.72°, I = 40; (0 2 0), 51.04°, I = 30; (2 0 14), 51.77°, I = 13; (2 2 13), 74.01°, I = 23; (4 1 13), 89.29°, I = 14

Record 11
The following is a calculated X-ray diffraction stick pattern of Ga2Ni3Se2. It was derived from DFT lattice parameters and positions (GGA-PBE), using Cu Kα, 1.54184 Å.
Lines closer than 0.1° are merged.

Structure:
Cell lengths 5.2213, 5.2213, 13.9328 Å; angles 90.00, 90.00, 120.00 degrees
Space group R-3m (No. 166, hexagonal axes)
Inequivalent atoms, fractional coordinates:
Ga (0.0000, 0.0000, 0.0000) (multiplicity 3)
Ga (0.0000, 0.0000, 0.5000) (multiplicity 3)
Ni (0.0000, 0.5000, 0.0000) (multiplicity 9)
Se (0.0000, 0.0000, 0.2097) (multiplicity 6)

Principal peaks in the range 10 to 90 degrees two-theta, in order of rising 2θ:
(1 0 4), 32.45°, I = 46; (1 1 0), 34.35°, I = 84; (0 0 6), 38.78°, I = 39; (1 1 3), 39.60°, I = 59; (0 2 1), 40.42°, I = 51; (2 0 2), 42.02°, I = 34; (0 2 4), 47.97°, I = 100; (2 0 5), 52.09°, I = 51; (2 2 0), 72.40°, I = 38; (0 2 10), 81.07°, I = 25

Record 12
The following is a calculated X-ray diffraction stick pattern of NdSb6S8I4. It was derived from DFT lattice parameters and positions (GGA-PBE), using Cu Kα, 1.54184 Å.
Lines closer than 0.1° are merged.

Structure:
Cell lengths 7.541, 9.167, 9.184 Å; angles 92.18, 107.85, 96.55 degrees
Space group P-1 (No. 2)
Inequivalent atoms, fractional coordinates:
Nd (0.000, 0.000, 0.000) (multiplicity 1)
Sb (0.227, 0.307, 0.786) (multiplicity 2)
Sb (0.234, 0.934, 0.440) (multiplicity 2)
Sb (0.242, 0.642, 0.157) (multiplicity 2)
S (0.083, 0.316, 0.014) (multiplicity 2)
S (0.089, 0.016, 0.718) (multiplicity 2)
S (0.094, 0.649, 0.385) (multiplicity 2)
S (0.345, 0.922, 0.200) (multiplicity 2)
I (0.355, 0.284, 0.473) (multiplicity 2)
I (0.356, 0.655, 0.853) (multiplicity 2)

Principal peaks in the range 10 to 90 degrees two-theta, in order of rising 2θ:
(0 1 -1), 13.53°, I = 69; (2 0 0), 25.05°, I = 37; (-2 1 2), 28.09°, I = 42; (1 2 1), 28.74°, I = 35; (1 0 -3), 29.34°, I = 57; (0 3 0), 29.51°, I = 75; (2 -1 1), 30.23°, I = 100; (2 0 -3), 33.15°, I = 39; (-1 3 3), 42.63°, I = 28; (2 3 -3), 45.64°, I = 28